This entry pairs a crystal structure of CsNbAg2Se4 with its simulated powder diffraction line list. Radiation: Cu Kα X-rays. Structure: a DFT-relaxed cell (PBE, OQMD).
Lines closer than 0.1° are merged.

Structural model:
Lattice parameters (Å, degrees): 8.225 19.939 6.148 90.00 90.00 90.00
Space group Ama2 (No. 40)
Inequivalent atoms, fractional coordinates:
Cs: 0.250 0.180 0.000 (multiplicity 4)
Nb: 0.250 0.387 0.259 (multiplicity 4)
Ag: 0.000 0.000 0.721 (multiplicity 4)
Ag: 0.250 0.384 0.760 (multiplicity 4)
Se: 0.002 0.381 0.034 (multiplicity 8)
Se: 0.250 0.286 0.478 (multiplicity 4)
Se: 0.250 0.489 0.493 (multiplicity 4)

Largest 10 diffraction maxima, in order of rising 2θ, 2θ from 15° to 90°:
hkl 0 1 1, 15.08°, I 32.3; hkl 2 0 0, 21.61°, I 20.7; hkl 2 1 1, 26.46°, I 100.0; hkl 0 5 1, 26.64°, I 68.3; hkl 2 3 1, 29.38°, I 27.0; hkl 1 2 2, 32.36°, I 39.5; hkl 2 4 2, 40.88°, I 90.5; hkl 4 0 0, 44.04°, I 35.7; hkl 2 6 2, 45.87°, I 32.9; hkl 4 5 1, 52.22°, I 34.2



This entry pairs a crystal structure of CsNiAgTeSe2 with its simulated powder diffraction line list. Radiation: Cu Kα X-rays. Structure: a DFT-relaxed cell (PBE, OQMD).
Lines closer than 0.1° are merged.

Structural model:
Lattice parameters (Å, degrees): 3.676 17.171 10.763 90.00 90.00 90.00
Space group Cmcm (No. 63)
Inequivalent atoms, fractional coordinates:
Cs: 0.000 0.239 0.250 (multiplicity 4)
Ni: 0.000 0.000 0.000 (multiplicity 4)
Ag: 0.000 0.443 0.750 (multiplicity 4)
Te: 0.000 0.068 0.750 (multiplicity 4)
Se: 0.000 0.406 0.517 (multiplicity 8)

Largest 10 diffraction maxima, in order of rising 2θ, 2θ from 15° to 90°:
hkl 0 0 2, 16.47°, I 16.8; hkl 0 4 2, 26.56°, I 15.0; hkl 1 3 1, 30.06°, I 100.0; hkl 0 6 0, 31.25°, I 22.9; hkl 0 0 4, 33.30°, I 48.5; hkl 1 3 3, 38.43°, I 33.9; hkl 1 5 2, 39.63°, I 16.4; hkl 2 0 0, 49.62°, I 24.3; hkl 1 3 5, 51.74°, I 29.4; hkl 2 0 4, 61.04°, I 19.2